GaH6Ir: calculated X-ray powder pattern (copper Kα), based on a crystal structure in Alexandria, relaxed with PBE.

Main lines, most intense first (2θ from 5° to 70°):
| hkl | 2θ/deg | Rel. int. |
| --- | --- | --- |
| 0 1 0 | 18.8 | 100 |
| 0 0 1 | 19.2 | 95 |
| 0 1 1 | 27.0 | 81 |
| 2 1 2 | 43.6 | 45 |
| 1 0 1 | 22.7 | 25 |
| 0 2 1 | 43.0 | 23 |
| 1 1 1 | 24.1 | 22 |
| 2 0 2 | 46.4 | 19 |

Atomic structure:
abc: 4.663 5.098 5.180
angles: 80.37 63.27 67.87
Fractional coordinates of all 8 atoms:
1 Ga 0.000 0.000 0.000
2 H 0.189 0.305 0.000
3 H 0.249 0.844 0.270
4 H 0.481 0.157 0.270
5 H 0.519 0.843 0.730
6 H 0.751 0.156 0.730
7 H 0.811 0.695 0.000
8 Ir 0.500 0.000 0.000